Diffraction record for ErCrInCl6. The powder diffraction line list is theoretical, not measured: it uses DFT lattice parameters and positions (GGA-PBE) and Cu Kα (λ = 1.5418 Å).

Cell and atoms:
a = 6.9362 Å, b = 11.2913 Å, c = 7.1332 Å
α = 90.00°, β = 92.92°, γ = 90.00°
Space group C2 (No. 5)
Symmetry-distinct sites (fractional):
Er1 0.0000 0.0000 0.0000
Cr1 0.0000 0.3401 0.0000
In1 0.0000 0.6794 0.5000
Cl1 0.1258 0.1863 0.2030
Cl2 0.1761 0.8603 0.2366
Cl3 0.1765 0.4872 0.1839

The 12 most intense peaks (15 to 90 degrees two-theta), sorted by position:
d [Å]  Position (°2θ)  I (rel.)  (hkl)
5.905  15.00  26.2  1 1 0
4.646  19.10  95.5  1 1 -1
4.452  19.94  84.4  1 1 1
4.425  20.07  100.0  0 2 1
3.307  26.96  34.0  1 3 0
2.972  30.07  29.4  1 3 1
2.770  32.32  25.5  2 2 -1
2.549  35.21  42.3  2 0 -2
2.454  36.63  35.8  1 3 -2
2.395  37.56  71.8  1 3 2
2.188  41.26  35.9  3 1 -1
1.968  46.12  40.0  3 3 0